[1]
Starting from a GGA-PBE-relaxed structure, the powder diffraction line list of Rb2Np3ZnO12 was simulated for CuKα.
Neutral-atom scattering factors, no anomalous dispersion.

Structural model:
Unit cell a=7.494 b=7.494 c=7.494 alpha=63.75 beta=63.75 gamma=63.75
Atoms (fractional coordinates):
Rb1 0.125 0.125 0.125
Rb2 0.875 0.875 0.875
Np1 0.000 0.500 0.500
Np2 0.500 0.000 0.500
Np3 0.500 0.500 0.000
Zn1 0.500 0.500 0.500
O1 0.179 0.563 0.563
O2 0.180 0.180 0.568
O3 0.180 0.568 0.180
O4 0.432 0.820 0.820
O5 0.437 0.437 0.821
O6 0.437 0.821 0.437
O7 0.563 0.179 0.563
O8 0.563 0.563 0.179
O9 0.568 0.180 0.180
O10 0.820 0.432 0.820
O11 0.820 0.820 0.432
O12 0.821 0.437 0.437

Largest 10 diffraction maxima, low angle first, 2θ = 15–90°:
d (Å), intensity
3.735, 20.6
3.366, 100.0
3.293, 63.8
3.199, 92.0
3.162, 28.3
2.970, 23.8
2.133, 21.4
1.979, 51.9
1.868, 34.5
1.647, 26.8

=====

[2]
Starting from a GGA-PBE-relaxed structure, the powder diffraction line list of NpSc2RhO8 was simulated for CuKα.
Neutral-atom scattering factors, no anomalous dispersion.

Structural model:
Unit cell a=4.876 b=4.876 c=6.347 alpha=90.00 beta=90.00 gamma=92.19
Atoms (fractional coordinates):
Np1 0.000 0.000 0.000
Sc1 0.500 0.500 0.263
Sc2 0.500 0.500 0.737
Rh1 0.000 0.000 0.500
O1 0.191 0.809 0.251
O2 0.191 0.809 0.749
O3 0.297 0.297 0.500
O4 0.300 0.300 0.000
O5 0.700 0.700 0.000
O6 0.703 0.703 0.500
O7 0.809 0.191 0.251
O8 0.809 0.191 0.749

Largest 10 diffraction maxima, low angle first, 2θ = 15–90°:
d (Å), intensity
4.873, 95.2
3.865, 29.7
3.513, 71.9
3.381, 63.4
2.659, 100.0
2.436, 28.3
2.355, 32.3
1.815, 49.4
1.778, 41.9
1.446, 37.1

=====

[3]
Starting from a GGA-PBE-relaxed structure, the powder diffraction line list of NpS6O2 was simulated for CuKα.
Neutral-atom scattering factors, no anomalous dispersion.

Structural model:
Unit cell a=3.413 b=8.303 c=9.074 alpha=70.09 beta=79.47 gamma=88.94
Atoms (fractional coordinates):
Np1 0.000 0.000 0.000
S1 0.094 0.699 0.766
S2 0.168 0.957 0.707
S3 0.183 0.631 0.579
S4 0.817 0.369 0.421
S5 0.832 0.043 0.293
S6 0.906 0.301 0.234
O1 0.443 0.160 0.931
O2 0.557 0.840 0.069

Largest 10 diffraction maxima, low angle first, 2θ = 15–90°:
d (Å), intensity
4.928, 100.0
4.368, 32.3
4.116, 30.6
3.352, 28.8
3.335, 26.2
3.028, 19.3
2.973, 55.8
2.764, 25.8
2.654, 21.0
2.602, 38.1

=====

[4]
Starting from a GGA-PBE-relaxed structure, the powder diffraction line list of Np3S3O2 was simulated for CuKα.
Neutral-atom scattering factors, no anomalous dispersion.

Structural model:
Unit cell a=3.628 b=3.957 c=20.372 alpha=90.00 beta=90.00 gamma=90.00
Atoms (fractional coordinates):
Np1 0.000 0.000 0.000
Np2 0.000 0.500 0.186
Np3 0.000 0.500 0.814
Np4 0.500 0.000 0.314
Np5 0.500 0.000 0.686
Np6 0.500 0.500 0.500
S1 0.000 0.000 0.500
S2 0.000 0.500 0.380
S3 0.000 0.500 0.620
S4 0.500 0.000 0.120
S5 0.500 0.000 0.880
S6 0.500 0.500 0.000
O1 0.000 0.000 0.247
O2 0.000 0.000 0.753
O3 0.500 0.500 0.253
O4 0.500 0.500 0.747

Largest 10 diffraction maxima, low angle first, 2θ = 15–90°:
d (Å), intensity
3.572, 35.0
3.419, 100.0
3.395, 46.0
2.710, 73.9
2.586, 86.5
2.368, 31.9
1.978, 22.4
1.844, 54.6
1.602, 35.8
1.598, 31.1

=====

[5]
Starting from a GGA-PBE-relaxed structure, the powder diffraction line list of NpS3O12 was simulated for CuKα.
Neutral-atom scattering factors, no anomalous dispersion.

Structural model:
Unit cell a=10.088 b=10.088 c=5.295 alpha=90.00 beta=90.00 gamma=120.00
Atoms (fractional coordinates):
Np1 0.333 0.667 0.250
Np2 0.667 0.333 0.750
S1 0.108 0.395 0.750
S2 0.287 0.892 0.750
S3 0.395 0.287 0.250
S4 0.605 0.713 0.750
S5 0.713 0.108 0.250
S6 0.892 0.605 0.250
O1 0.054 0.660 0.250
O2 0.126 0.840 0.750
O3 0.160 0.286 0.750
O4 0.178 0.505 0.521
O5 0.178 0.505 0.979
O6 0.286 0.126 0.250
O7 0.326 0.822 0.521
O8 0.326 0.822 0.979
O9 0.340 0.394 0.250
O10 0.394 0.054 0.750
O11 0.495 0.674 0.521
O12 0.495 0.674 0.979
O13 0.505 0.326 0.021
O14 0.505 0.326 0.479
O15 0.606 0.946 0.250
O16 0.660 0.606 0.750
O17 0.674 0.178 0.021
O18 0.674 0.178 0.479
O19 0.714 0.874 0.750
O20 0.822 0.495 0.021
O21 0.822 0.495 0.479
O22 0.840 0.714 0.250
O23 0.874 0.160 0.250
O24 0.946 0.340 0.750

Largest 10 diffraction maxima, low angle first, 2θ = 15–90°:
d (Å), intensity
5.044, 53.3
4.528, 60.8
4.368, 27.7
3.370, 100.0
2.912, 23.2
2.802, 56.9
2.203, 29.5
1.959, 24.1
1.875, 24.9
1.826, 18.0

=====

[6]
Starting from a GGA-PBE-relaxed structure, the powder diffraction line list of Np2SbO11 was simulated for CuKα.
Neutral-atom scattering factors, no anomalous dispersion.

Structural model:
Unit cell a=8.249 b=8.249 c=8.249 alpha=119.29 beta=109.14 gamma=100.54
Atoms (fractional coordinates):
Np1 0.231 0.179 0.410
Np2 0.269 0.679 0.948
Np3 0.731 0.321 0.052
Np4 0.769 0.821 0.590
Sb1 0.250 0.750 0.500
Sb2 0.750 0.250 0.500
O1 0.000 0.000 0.000
O2 0.001 0.534 0.273
O3 0.011 0.875 0.618
O4 0.165 0.918 0.083
O5 0.239 0.966 0.467
O6 0.243 0.625 0.136
O7 0.257 0.393 0.382
O8 0.261 0.728 0.727
O9 0.335 0.418 0.753
O10 0.489 0.107 0.864
O11 0.499 0.772 0.533
O12 0.500 0.500 0.000
O13 0.501 0.228 0.467
O14 0.511 0.893 0.136
O15 0.665 0.582 0.247
O16 0.739 0.272 0.273
O17 0.743 0.607 0.618
O18 0.757 0.375 0.864
O19 0.761 0.034 0.533
O20 0.835 0.082 0.917
O21 0.989 0.125 0.382
O22 0.999 0.466 0.727

Largest 10 diffraction maxima, low angle first, 2θ = 15–90°:
d (Å), intensity
5.272, 56.7
4.782, 33.5
4.039, 29.3
3.592, 82.9
3.542, 100.0
3.270, 34.3
3.142, 38.0
2.587, 25.1
2.462, 23.6
1.999, 26.1

=====

[7]
Starting from a GGA-PBE-relaxed structure, the powder diffraction line list of NpSbO6 was simulated for CuKα.
Neutral-atom scattering factors, no anomalous dispersion.

Structural model:
Unit cell a=4.817 b=4.817 c=8.122 alpha=90.00 beta=90.00 gamma=90.00
Atoms (fractional coordinates):
Np1 0.000 0.000 0.250
Np2 0.000 0.000 0.750
Sb1 0.500 0.500 0.000
Sb2 0.500 0.500 0.500
O1 0.208 0.789 0.000
O2 0.211 0.208 0.500
O3 0.273 0.724 0.333
O4 0.273 0.724 0.667
O5 0.276 0.273 0.167
O6 0.276 0.273 0.833
O7 0.724 0.727 0.167
O8 0.724 0.727 0.833
O9 0.727 0.276 0.333
O10 0.727 0.276 0.667
O11 0.789 0.792 0.500
O12 0.792 0.211 0.000

Largest 10 diffraction maxima, low angle first, 2θ = 15–90°:
d (Å), intensity
4.817, 13.8
3.406, 70.4
3.105, 100.0
2.408, 15.1
1.903, 58.2
1.744, 21.0
1.703, 14.0
1.552, 14.4
1.493, 14.7
1.218, 12.8

=====

[8]
Starting from a GGA-PBE-relaxed structure, the powder diffraction line list of Np2SbO was simulated for CuKα.
Neutral-atom scattering factors, no anomalous dispersion.

Structural model:
Unit cell a=5.415 b=11.795 c=5.665 alpha=90.00 beta=90.00 gamma=90.00
Atoms (fractional coordinates):
Np1 0.241 0.105 0.000
Np2 0.241 0.895 0.500
Np3 0.259 0.395 0.000
Np4 0.259 0.605 0.500
Np5 0.741 0.395 0.500
Np6 0.741 0.605 0.000
Np7 0.759 0.105 0.500
Np8 0.759 0.895 0.000
Sb1 0.250 0.250 0.500
Sb2 0.250 0.750 0.000
Sb3 0.750 0.250 0.000
Sb4 0.750 0.750 0.500
O1 0.000 0.000 0.250
O2 0.000 0.000 0.750
O3 0.500 0.500 0.250
O4 0.500 0.500 0.750

Largest 10 diffraction maxima, low angle first, 2θ = 15–90°:
d (Å), intensity
3.715, 17.7
2.832, 28.4
2.774, 100.0
2.707, 24.9
1.957, 22.1
1.624, 20.7
1.615, 7.1
1.576, 18.4
1.387, 7.6
1.238, 8.4